# 1
For Sm2Sn5, DFT lattice parameters and positions (GGA-PBE) gives the computed X-ray powder pattern in this record (CuKα).
Peak positions follow from Bragg's law for the DFT cell and can differ from measured ones.

Peak list (10 most intense, 10° ≤ 2θ ≤ 90°, sorted by position)
| d (Å) | Rel. int. |
| --- | --- |
| 2.747 | 100 |
| 2.523 | 16 |
| 2.320 | 17 |
| 2.312 | 17 |
| 1.708 | 10 |
| 1.704 | 10 |
| 1.638 | 12 |
| 1.409 | 13 |
| 1.405 | 13 |
| 1.374 | 10 |

Atomic structure:
a = 4.6232 Å, b = 35.3155 Å, c = 4.6408 Å
α = 90.00°, β = 90.00°, γ = 90.00°
Space group Cmmm (No. 65)
Inequivalent atoms, fractional coordinates:
Sm 0.0000 0.0676 0.0000 [4 per cell]
Sm 0.0000 0.2024 0.0000 [4 per cell]
Sn 0.0000 0.0000 0.5000 [2 per cell]
Sn 0.0000 0.1381 0.5000 [4 per cell]
Sn 0.0000 0.2790 0.5000 [4 per cell]
Sn 0.0000 0.3626 0.0000 [4 per cell]
Sn 0.0000 0.4293 0.5000 [4 per cell]
Sn 0.0000 0.5000 0.0000 [2 per cell]

# 2
For SmZnSn, DFT lattice parameters and positions (GGA-PBE) gives the computed X-ray powder pattern in this record (CuKα).
Peak positions follow from Bragg's law for the DFT cell and can differ from measured ones.

Peak list (10 most intense, 10° ≤ 2θ ≤ 90°, sorted by position)
| d (Å) | Rel. int. |
| --- | --- |
| 3.192 | 15 |
| 2.835 | 100 |
| 2.277 | 59 |
| 2.038 | 7 |
| 2.006 | 13 |
| 1.775 | 25 |
| 1.519 | 18 |
| 1.400 | 23 |
| 1.315 | 10 |
| 1.105 | 7 |

Atomic structure:
a = 4.5539 Å, b = 4.5539 Å, c = 16.3069 Å
α = 90.00°, β = 90.00°, γ = 120.00°
Space group P6_3/mmc (No. 194)
Inequivalent atoms, fractional coordinates:
Sm 0.0000 0.0000 0.0000 [2 per cell]
Sm 0.0000 0.0000 0.2500 [2 per cell]
Zn 0.3333 0.6667 0.1583 [4 per cell]
Sn 0.3333 0.6667 0.6148 [4 per cell]

# 3
For Sr3Sm, DFT lattice parameters and positions (GGA-PBE) gives the computed X-ray powder pattern in this record (CuKα).
Peak positions follow from Bragg's law for the DFT cell and can differ from measured ones.

Peak list (10 most intense, 10° ≤ 2θ ≤ 90°, sorted by position)
| d (Å) | Rel. int. |
| --- | --- |
| 3.541 | 23 |
| 3.274 | 25 |
| 3.115 | 100 |
| 2.404 | 16 |
| 2.044 | 20 |
| 1.858 | 22 |
| 1.734 | 24 |
| 1.709 | 17 |
| 1.311 | 14 |
| 1.141 | 9 |

Atomic structure:
a = 8.1771 Å, b = 8.1771 Å, c = 6.5485 Å
α = 90.00°, β = 90.00°, γ = 120.00°
Space group P6_3/mmc (No. 194)
Inequivalent atoms, fractional coordinates:
Sr 0.1721 0.3442 0.2500 [6 per cell]
Sm 0.3333 0.6667 0.7500 [2 per cell]

# 4
For Tb3Sm, DFT lattice parameters and positions (GGA-PBE) gives the computed X-ray powder pattern in this record (CuKα).
Peak positions follow from Bragg's law for the DFT cell and can differ from measured ones.

Peak list (10 most intense, 10° ≤ 2θ ≤ 90°, sorted by position)
| d (Å) | Rel. int. |
| --- | --- |
| 2.922 | 100 |
| 2.536 | 17 |
| 2.528 | 34 |
| 1.790 | 36 |
| 1.528 | 14 |
| 1.525 | 29 |
| 1.461 | 12 |
| 1.162 | 12 |
| 1.160 | 6 |
| 1.131 | 11 |

Atomic structure:
a = 5.0568 Å, b = 5.0568 Å, c = 10.1433 Å
α = 90.00°, β = 90.00°, γ = 90.00°
Space group I4/mmm (No. 139)
Inequivalent atoms, fractional coordinates:
Tb 0.0000 0.0000 0.0000 [2 per cell]
Tb 0.0000 0.5000 0.2500 [4 per cell]
Sm 0.0000 0.0000 0.5000 [2 per cell]

# 5
For Tb3Sm, DFT lattice parameters and positions (GGA-PBE) gives the computed X-ray powder pattern in this record (CuKα).
Peak positions follow from Bragg's law for the DFT cell and can differ from measured ones.

Peak list (10 most intense, 10° ≤ 2θ ≤ 90°, sorted by position)
| d (Å) | Rel. int. |
| --- | --- |
| 3.142 | 23 |
| 2.905 | 25 |
| 2.764 | 100 |
| 2.133 | 16 |
| 1.814 | 19 |
| 1.649 | 21 |
| 1.539 | 23 |
| 1.517 | 16 |
| 1.164 | 14 |
| 1.134 | 9 |

Atomic structure:
a = 7.2569 Å, b = 7.2569 Å, c = 5.8099 Å
α = 90.00°, β = 90.00°, γ = 120.00°
Space group P6_3/mmc (No. 194)
Inequivalent atoms, fractional coordinates:
Tb 0.1659 0.3318 0.2500 [6 per cell]
Sm 0.3333 0.6667 0.7500 [2 per cell]

# 6
For TbSm3, DFT lattice parameters and positions (GGA-PBE) gives the computed X-ray powder pattern in this record (CuKα).
Peak positions follow from Bragg's law for the DFT cell and can differ from measured ones.

Peak list (10 most intense, 10° ≤ 2θ ≤ 90°, sorted by position)
| d (Å) | Rel. int. |
| --- | --- |
| 3.153 | 23 |
| 2.950 | 26 |
| 2.781 | 100 |
| 2.154 | 16 |
| 1.820 | 19 |
| 1.668 | 22 |
| 1.549 | 23 |
| 1.523 | 16 |
| 1.168 | 14 |
| 1.105 | 10 |

Atomic structure:
a = 7.2820 Å, b = 7.2820 Å, c = 5.8990 Å
α = 90.00°, β = 90.00°, γ = 120.00°
Space group P6_3/mmc (No. 194)
Inequivalent atoms, fractional coordinates:
Tb 0.3333 0.6667 0.2500 [2 per cell]
Sm 0.1670 0.3340 0.7500 [6 per cell]

# 7
For SmTe, DFT lattice parameters and positions (GGA-PBE) gives the computed X-ray powder pattern in this record (CuKα).
Peak positions follow from Bragg's law for the DFT cell and can differ from measured ones.

Peak list (9 most intense, 10° ≤ 2θ ≤ 90°, sorted by position)
| d (Å) | Rel. int. |
| --- | --- |
| 3.629 | 2 |
| 3.142 | 100 |
| 2.222 | 76 |
| 1.895 | 1 |
| 1.814 | 27 |
| 1.571 | 13 |
| 1.405 | 35 |
| 1.283 | 26 |
| 1.111 | 8 |

Atomic structure:
a = 6.2848 Å, b = 6.2848 Å, c = 6.2848 Å
α = 90.00°, β = 90.00°, γ = 90.00°
Space group Fm-3m (No. 225)
Inequivalent atoms, fractional coordinates:
Sm 0.0000 0.0000 0.0000 [4 per cell]
Te 0.0000 0.0000 0.5000 [4 per cell]

# 8
For SmTe3, DFT lattice parameters and positions (GGA-PBE) gives the computed X-ray powder pattern in this record (CuKα).
Peak positions follow from Bragg's law for the DFT cell and can differ from measured ones.

Peak list (10 most intense, 10° ≤ 2θ ≤ 90°, sorted by position)
| d (Å) | Rel. int. |
| --- | --- |
| 6.818 | 14 |
| 3.409 | 36 |
| 3.072 | 17 |
| 2.927 | 100 |
| 2.689 | 50 |
| 2.422 | 33 |
| 2.186 | 49 |
| 1.840 | 25 |
| 1.546 | 16 |
| 1.367 | 19 |

Atomic structure:
a = 4.3718 Å, b = 27.2736 Å, c = 4.3726 Å
α = 90.00°, β = 90.00°, γ = 90.00°
Space group Cmcm (No. 63)
Inequivalent atoms, fractional coordinates:
Sm 0.0000 0.1724 0.2500 [4 per cell]
Te 0.0000 0.0790 0.7500 [4 per cell]
Te 0.0000 0.2925 0.2500 [4 per cell]
Te 0.0000 0.4210 0.7500 [4 per cell]

# 9
For SmTe, DFT lattice parameters and positions (GGA-PBE) gives the computed X-ray powder pattern in this record (CuKα).
Peak positions follow from Bragg's law for the DFT cell and can differ from measured ones.

Peak list (7 most intense, 10° ≤ 2θ ≤ 90°, sorted by position)
| d (Å) | Rel. int. |
| --- | --- |
| 3.845 | 1 |
| 2.719 | 100 |
| 1.923 | 18 |
| 1.570 | 38 |
| 1.359 | 12 |
| 1.216 | 16 |
| 1.110 | 4 |

Atomic structure:
a = 3.8452 Å, b = 3.8452 Å, c = 3.8452 Å
α = 90.00°, β = 90.00°, γ = 90.00°
Space group Pm-3m (No. 221)
Inequivalent atoms, fractional coordinates:
Sm 0.0000 0.0000 0.0000 [1 per cell]
Te 0.5000 0.5000 0.5000 [1 per cell]

# 10
For SmTe2, DFT lattice parameters and positions (GGA-PBE) gives the computed X-ray powder pattern in this record (CuKα).
Peak positions follow from Bragg's law for the DFT cell and can differ from measured ones.

Peak list (10 most intense, 10° ≤ 2θ ≤ 90°, sorted by position)
| d (Å) | Rel. int. |
| --- | --- |
| 3.173 | 25 |
| 3.017 | 37 |
| 2.995 | 100 |
| 2.598 | 98 |
| 2.504 | 56 |
| 2.244 | 67 |
| 1.800 | 33 |
| 1.671 | 33 |
| 1.587 | 23 |
| 1.354 | 25 |

Atomic structure:
a = 4.4877 Å, b = 4.4877 Å, c = 9.0509 Å
α = 90.00°, β = 90.00°, γ = 90.00°
Space group P4/nmm (No. 129, origin choice 2)
Inequivalent atoms, fractional coordinates:
Sm 0.2500 0.2500 0.2291 [2 per cell]
Te 0.2500 0.2500 0.8707 [2 per cell]
Te 0.2500 0.7500 0.5000 [2 per cell]

# 11
For SmTl9Te6, DFT lattice parameters and positions (GGA-PBE) gives the computed X-ray powder pattern in this record (CuKα).
Peak positions follow from Bragg's law for the DFT cell and can differ from measured ones.

Peak list (10 most intense, 10° ≤ 2θ ≤ 90°, sorted by position)
| d (Å) | Rel. int. |
| --- | --- |
| 3.013 | 100 |
| 2.992 | 13 |
| 2.861 | 53 |
| 2.258 | 15 |
| 2.022 | 11 |
| 1.973 | 12 |
| 1.772 | 15 |
| 1.598 | 11 |
| 1.574 | 19 |
| 1.410 | 11 |

Atomic structure:
a = 9.0458 Å, b = 9.0458 Å, c = 13.5424 Å
α = 90.00°, β = 90.00°, γ = 90.00°
Space group I4/m (No. 87)
Inequivalent atoms, fractional coordinates:
Sm 0.0000 0.0000 0.0000 [2 per cell]
Tl 0.0000 0.0000 0.5000 [2 per cell]
Tl 0.1401 0.6553 0.3417 [16 per cell]
Te 0.0000 0.0000 0.2359 [4 per cell]
Te 0.1501 0.6775 0.0000 [8 per cell]

# 12
For SmUTe6, DFT lattice parameters and positions (GGA-PBE) gives the computed X-ray powder pattern in this record (CuKα).
Peak positions follow from Bragg's law for the DFT cell and can differ from measured ones.

Peak list (10 most intense, 10° ≤ 2θ ≤ 90°, sorted by position)
| d (Å) | Rel. int. |
| --- | --- |
| 6.395 | 19 |
| 3.197 | 45 |
| 3.076 | 33 |
| 2.912 | 100 |
| 2.650 | 80 |
| 2.585 | 23 |
| 2.363 | 27 |
| 2.197 | 33 |
| 2.185 | 33 |
| 1.549 | 22 |

Atomic structure:
a = 4.3932 Å, b = 4.3705 Å, c = 25.5791 Å
α = 90.00°, β = 90.00°, γ = 90.00°
Space group Amm2 (No. 38)
Inequivalent atoms, fractional coordinates:
Sm 0.0000 0.0000 0.0000 [2 per cell]
U 0.5000 0.0000 0.6666 [2 per cell]
Te 0.0000 0.0000 0.1301 [2 per cell]
Te 0.0000 0.0000 0.4028 [2 per cell]
Te 0.0000 0.0000 0.7571 [2 per cell]
Te 0.5000 0.0000 0.2570 [2 per cell]
Te 0.5000 0.0000 0.5403 [2 per cell]
Te 0.5000 0.0000 0.9025 [2 per cell]